Entry 1:
For Tl5PS4Br2, a GGA-PBE-relaxed structure gives the theoretical powder X-ray diffraction pattern in this record (Cu Kα).
Lines closer than 0.1° are merged.

Most intense lines, 10° ≤ 2θ ≤ 90°, by angle:
2θ (°)	intensity	(hkl)
18.03	316	0 2 0
21.05	565	0 0 2
23.05	588	2 1 1
25.84	339	2 2 0
28.07	564	2 0 2
29.21	688	0 3 1
33.56	1000	2 2 2
37.21	254	4 0 0
42.32	246	0 3 3
51.29	357	2 5 1

Crystal structure
Cell lengths 9.6667, 9.8401, 8.4418 Å; angles 90.00, 90.00, 90.00 degrees
Space group Amm2 (No. 38)
Inequivalent atoms, fractional coordinates:
1 Tl 0.0000 0.0000 0.0000
2 Tl 0.2703 0.1947 0.5231
3 P 0.5000 0.0000 0.9477
4 S 0.3261 0.0000 0.0901
5 S 0.5000 0.1734 0.8106
6 Br 0.0000 0.2402 0.2674

=====

Entry 2:
For TiSb2PBr, a GGA-PBE-relaxed structure gives the theoretical powder X-ray diffraction pattern in this record (Cu Kα).
Lines closer than 0.1° are merged.

Most intense lines, 10° ≤ 2θ ≤ 90°, by angle:
2θ (°)	intensity	(hkl)
19.03	263	0 0 1
25.45	167	1 0 1
30.61	1000	1 1 1
33.84	655	2 0 0
38.61	226	0 0 2
39.11	170	2 0 1
48.61	228	2 2 0
52.27	365	2 0 2
58.55	309	3 1 1
63.73	198	2 2 2

Crystal structure
Cell lengths 5.2974, 5.2974, 4.6635 Å; angles 90.00, 90.00, 90.00 degrees
Space group P4/mmm (No. 123)
Inequivalent atoms, fractional coordinates:
1 Ti 0.0000 0.0000 0.0000
2 Sb 0.0000 0.5000 0.0000
3 P 0.0000 0.0000 0.5000
4 Br 0.5000 0.5000 0.5000

=====

Entry 3:
For SbPWBr2, a GGA-PBE-relaxed structure gives the theoretical powder X-ray diffraction pattern in this record (Cu Kα).
Lines closer than 0.1° are merged.

Most intense lines, 10° ≤ 2θ ≤ 90°, by angle:
2θ (°)	intensity	(hkl)
23.22	197	1 1 0
23.33	1000	1 0 1
28.63	545	1 1 1
33.07	704	2 0 0
33.38	343	0 0 2
40.86	472	2 1 1
47.47	252	2 2 0
47.70	497	2 0 2
59.26	258	2 2 2
88.56	176	4 2 2

Crystal structure
Cell lengths 5.4177, 5.4177, 5.3687 Å; angles 90.00, 90.00, 90.00 degrees
Space group P4/mmm (No. 123)
Inequivalent atoms, fractional coordinates:
1 Sb 0.0000 0.0000 0.0000
2 P 0.0000 0.0000 0.5000
3 W 0.5000 0.5000 0.5000
4 Br 0.0000 0.5000 0.0000

=====

Entry 4:
For Sc3PBr3, a GGA-PBE-relaxed structure gives the theoretical powder X-ray diffraction pattern in this record (Cu Kα).
Lines closer than 0.1° are merged.

Most intense lines, 10° ≤ 2θ ≤ 90°, by angle:
2θ (°)	intensity	(hkl)
17.64	259	0 0 6
27.57	234	1 1 0
28.99	203	2 -1 3
32.92	1000	1 1 6
38.68	141	2 -1 9
45.70	328	2 -1 12
48.75	301	3 0 0
60.08	160	4 -2 6
80.91	133	4 1 6
89.03	96	5 -1 12

Crystal structure
Cell lengths 6.4706, 6.4706, 30.1670 Å; angles 90.00, 90.00, 120.00 degrees
Space group R-3 (No. 148, hexagonal axes)
Inequivalent atoms, fractional coordinates:
1 Sc 0.0000 0.3414 0.4532
2 P 0.0000 0.0000 0.1667
3 Br 0.0000 0.3288 0.6041

=====

- Number 3 is which compound?
  SbPWBr2

=====

- Which formula does entry 1 have?
  Tl5PS4Br2